[1]
Simulated PXRD pattern
Compound: Ba2Ni3
Radiation: CuKα
Structure: a structure optimized by DFT (GGA-PBE)

Structural model:
```
Ba2Ni3
1.0
4.2007 0.0000 0.0000
-2.1003 3.6379 0.0000
0.0000 0.0000 9.2401
Ba Ni
2 3
Direct
0.3333 0.6667 0.2282
0.6667 0.3333 0.7718
0.0000 0.0000 0.5000
0.3333 0.6667 0.5334
0.6667 0.3333 0.4666
```

Peak list (10 most intense, 10° ≤ 2θ ≤ 90°, in order of rising 2θ)
| 2θ (°) | I/Imax |
| --- | --- |
| 24.5 | 25.2 |
| 26.3 | 100.0 |
| 29.0 | 24.4 |
| 31.3 | 45.4 |
| 38.3 | 69.3 |
| 39.0 | 20.2 |
| 43.1 | 67.0 |
| 52.8 | 26.0 |
| 59.0 | 19.1 |
| 59.5 | 33.8 |



[2]
Simulated PXRD pattern
Compound: HfZrBiO6
Radiation: CuKα
Structure: a structure optimized by DFT (GGA-PBE)

Structural model:
```
HfZrBiO6
1.0
3.5030 -3.5648 0.0000
3.5030 3.5648 0.0000
0.0000 0.0000 10.0494
Hf Zr Bi O
2 2 2 12
Direct
0.0000 0.0000 0.0000
0.5000 0.5000 0.5000
0.0000 0.0000 0.6665
0.5000 0.5000 0.1711
0.0000 0.0000 0.3337
0.5000 0.5000 0.8350
0.1908 0.1908 0.8361
0.2024 0.2024 0.1456
0.2055 0.2055 0.5206
0.3010 0.6990 0.9983
0.3056 0.6944 0.6687
0.3228 0.6772 0.3375
0.6772 0.3228 0.3375
0.6944 0.3056 0.6687
0.6990 0.3010 0.9983
0.7945 0.7945 0.5206
0.7976 0.7976 0.1456
0.8092 0.8092 0.8361
```

Peak list (10 most intense, 10° ≤ 2θ ≤ 90°, in order of rising 2θ)
| 2θ (°) | I/Imax |
| --- | --- |
| 19.8 | 14.8 |
| 25.0 | 58.6 |
| 25.4 | 55.1 |
| 32.2 | 100.0 |
| 35.9 | 30.5 |
| 48.8 | 42.9 |
| 49.3 | 38.4 |
| 61.1 | 10.5 |
| 62.2 | 23.8 |
| 67.3 | 11.3 |



[3]
Simulated PXRD pattern
Compound: Fe4NiIr3
Radiation: CuKα
Structure: a structure optimized by DFT (GGA-PBE)

Structural model:
```
Fe4NiIr3
1.0
3.7374 0.0000 0.0000
0.0000 3.7374 0.0000
0.0000 0.0000 14.5799
Fe Ni Ir
8 2 6
Direct
0.0000 0.5000 0.1228
0.0000 0.5000 0.3772
0.0000 0.5000 0.6228
0.0000 0.5000 0.8772
0.5000 0.0000 0.1228
0.5000 0.0000 0.3772
0.5000 0.0000 0.6228
0.5000 0.0000 0.8772
0.0000 0.0000 0.0000
0.5000 0.5000 0.5000
0.0000 0.0000 0.2508
0.0000 0.0000 0.5000
0.0000 0.0000 0.7492
0.5000 0.5000 0.0000
0.5000 0.5000 0.2492
0.5000 0.5000 0.7508
```

Peak list (10 most intense, 10° ≤ 2θ ≤ 90°, in order of rising 2θ)
| 2θ (°) | I/Imax |
| --- | --- |
| 24.4 | 21.3 |
| 33.9 | 18.9 |
| 42.2 | 100.0 |
| 48.7 | 32.9 |
| 50.1 | 16.1 |
| 55.3 | 12.2 |
| 71.4 | 10.2 |
| 72.4 | 20.3 |
| 86.6 | 24.8 |
| 88.6 | 11.8 |



[4]
Simulated PXRD pattern
Compound: KLi4Pt
Radiation: CuKα
Structure: a structure optimized by DFT (GGA-PBE)

Structural model:
```
KLi4Pt
1.0
0.0000 3.8919 3.8919
3.8919 0.0000 3.8919
3.8919 3.8919 0.0000
K Li Pt
1 4 1
Direct
0.0000 0.0000 0.0000
0.1341 0.6220 0.6220
0.6220 0.1341 0.6220
0.6220 0.6220 0.1341
0.6220 0.6220 0.6220
0.2500 0.2500 0.2500
```

Peak list (10 most intense, 10° ≤ 2θ ≤ 90°, in order of rising 2θ)
| 2θ (°) | I/Imax |
| --- | --- |
| 19.8 | 100.0 |
| 22.8 | 33.1 |
| 32.5 | 67.9 |
| 38.4 | 67.4 |
| 40.1 | 11.2 |
| 51.2 | 24.8 |
| 52.6 | 15.9 |
| 58.1 | 25.6 |
| 61.9 | 22.3 |
| 71.7 | 18.5 |



[5]
Simulated PXRD pattern
Compound: LaCu5P3
Radiation: CuKα
Structure: a structure optimized by DFT (GGA-PBE)

Structural model:
```
LaCu5P3
1.0
1.9233 -6.1345 0.0000
1.9233 6.1345 0.0000
0.0000 0.0000 11.5727
La Cu P
2 10 6
Direct
0.1637 0.8363 0.7500
0.8363 0.1637 0.2500
0.0000 0.0000 0.0000
0.0000 0.0000 0.5000
0.1925 0.8075 0.0606
0.1925 0.8075 0.4394
0.4419 0.5581 0.6436
0.4419 0.5581 0.8564
0.5581 0.4419 0.1436
0.5581 0.4419 0.3564
0.8075 0.1925 0.5606
0.8075 0.1925 0.9394
0.1184 0.8816 0.2500
0.3796 0.6204 0.0534
0.3796 0.6204 0.4466
0.6204 0.3796 0.5534
0.6204 0.3796 0.9466
0.8816 0.1184 0.7500
```

Peak list (10 most intense, 10° ≤ 2θ ≤ 90°, in order of rising 2θ)
| 2θ (°) | I/Imax |
| --- | --- |
| 27.3 | 41.3 |
| 30.1 | 38.3 |
| 31.9 | 59.4 |
| 33.7 | 100.0 |
| 35.6 | 53.8 |
| 37.5 | 26.0 |
| 39.7 | 97.6 |
| 43.8 | 46.1 |
| 47.3 | 58.8 |
| 50.0 | 30.6 |



[6]
Simulated PXRD pattern
Compound: LiTl2RhCl6
Radiation: CuKα
Structure: a structure optimized by DFT (GGA-PBE)

Structural model:
```
LiTl2RhCl6
1.0
7.0155 0.0000 0.0000
0.0000 9.9251 0.0000
0.0000 0.0000 7.0143
Li Tl Rh Cl
2 4 2 12
Direct
0.2500 0.2500 0.2483
0.7500 0.7500 0.7517
0.2500 0.0000 0.7496
0.2500 0.5000 0.7496
0.7500 0.0000 0.2504
0.7500 0.5000 0.2504
0.2500 0.7500 0.2505
0.7500 0.2500 0.7495
0.0112 0.7500 0.0116
0.0112 0.7500 0.4892
0.2500 0.5113 0.2506
0.2500 0.9887 0.2506
0.4888 0.7500 0.0116
0.4888 0.7500 0.4892
0.5112 0.2500 0.5108
0.5112 0.2500 0.9884
0.7500 0.0113 0.7494
0.7500 0.4887 0.7494
0.9888 0.2500 0.5108
0.9888 0.2500 0.9884
```

Peak list (10 most intense, 10° ≤ 2θ ≤ 90°, in order of rising 2θ)
| 2θ (°) | I/Imax |
| --- | --- |
| 17.9 | 24.8 |
| 25.4 | 100.0 |
| 31.2 | 52.7 |
| 36.2 | 54.4 |
| 44.7 | 45.6 |
| 52.1 | 36.7 |
| 58.9 | 21.4 |
| 62.0 | 20.1 |
| 71.1 | 24.3 |
| 88.0 | 16.5 |



[7]
Simulated PXRD pattern
Compound: PaIn2Pb2
Radiation: CuKα
Structure: a structure optimized by DFT (GGA-PBE)

Structural model:
```
PaIn2Pb2
1.0
5.2529 0.0000 0.0000
-2.6265 4.5492 0.0000
0.0000 0.0000 12.9215
Pa In Pb
2 4 4
Direct
0.0000 0.0000 0.2500
0.0000 0.0000 0.7500
0.0000 0.0000 0.0000
0.0000 0.0000 0.5000
0.3333 0.6667 0.2500
0.6667 0.3333 0.7500
0.3333 0.6667 0.6182
0.3333 0.6667 0.8818
0.6667 0.3333 0.1182
0.6667 0.3333 0.3818
```

Peak list (10 most intense, 10° ≤ 2θ ≤ 90°, in order of rising 2θ)
| 2θ (°) | I/Imax |
| --- | --- |
| 13.7 | 8.5 |
| 20.7 | 10.3 |
| 28.5 | 37.6 |
| 34.1 | 100.0 |
| 40.1 | 9.0 |
| 45.1 | 11.0 |
| 49.0 | 14.1 |
| 57.7 | 10.6 |
| 61.1 | 26.4 |
| 68.2 | 15.9 |